Structure and computed XRD peak list of Cs4CoO4 (a structure optimized by DFT (GGA+U); Cu Kα).

Main lines, by angle (2θ = 10–90°):
| 2θ (°) | d_spacing | I/Imax |
| --- | --- | --- |
| 23.33 | 3.812 | 100 |
| 25.24 | 3.528 | 74 |
| 25.90 | 3.439 | 23 |
| 30.25 | 2.954 | 13 |
| 36.00 | 2.495 | 32 |
| 36.48 | 2.463 | 21 |
| 39.80 | 2.265 | 32 |
| 43.34 | 2.088 | 42 |
| 47.71 | 1.906 | 18 |
| 58.49 | 1.578 | 16 |

Structural model:
Unit cell a=7.7336 b=7.7336 c=7.7336 alpha=125.71 beta=125.71 gamma=80.36
Sites, in units of the cell vectors:
Cs 0.0000 0.5000 0.5000
Cs 0.2116 0.2116 0.0000
Cs 0.5000 0.0000 0.5000
Cs 0.7884 0.7884 0.0000
Co 0.5000 0.5000 0.0000
O 0.2609 0.5555 0.0000
O 0.4445 0.4445 0.7054
O 0.5555 0.2609 0.0000
O 0.7391 0.7391 0.2946